# Dy3Sc2Al2
Theoretical X-ray powder pattern, CuKα. Input: the GGA-PBE geometry in Alexandria.
Kinematic intensities with the Lorentz-polarization factor, no thermal factor.

Structural model:
Cell lengths 4.682, 22.382, 3.310 Å; angles 90.00, 90.00, 90.00 degrees
Space group Cmmm (No. 65)
Asymmetric unit:
Dy 0.000 0.000 0.000 x2
Dy 0.000 0.144 0.000 x4
Sc 0.000 0.284 0.500 x4
Al 0.000 0.428 0.500 x4

Largest 10 diffraction maxima, most intense first, 10° ≤ 2θ ≤ 90°:
d (Å), 2θ (°), I/Imax, (hkl)
2.640, 34.0, 100, 1 7 0
2.683, 33.4, 97, 1 1 1
4.583, 19.4, 85, 1 1 0
2.476, 36.3, 43, 0 6 1
1.402, 66.7, 41, 3 7 0
2.341, 38.5, 36, 2 0 0
2.064, 43.9, 29, 1 7 1
3.730, 23.9, 27, 0 6 0
1.701, 53.9, 27, 2 6 1
3.310, 26.9, 26, 0 0 1